Entry 1:
# ScV4Si3
Theoretical XRD peak list, a wavelength of 1.5418 Å. Input: a DFT-relaxed cell (GGA-PBE, the Materials Project).
Peak positions follow from Bragg's law for the DFT cell and can differ from measured ones.

Atomic structure:
Lattice parameters (Å, degrees): 4.941 12.419 7.445 90.00 90.00 90.00
Space group Amm2 (No. 38)
Unique sites:
Sc 0.000 0.116 0.000 (multiplicity 4)
V 0.000 0.000 0.626 (multiplicity 2)
V 0.249 0.168 0.386 (multiplicity 8)
V 0.500 0.000 0.158 (multiplicity 2)
V 0.500 0.121 0.761 (multiplicity 4)
Si 0.000 0.000 0.294 (multiplicity 2)
Si 0.000 0.197 0.681 (multiplicity 4)
Si 0.500 0.000 0.494 (multiplicity 2)
Si 0.500 0.198 0.086 (multiplicity 4)

Main lines, in order of rising 2θ (10° ≤ 2θ ≤ 80°):
2theta, I/Imax, hkl
38.20, 27, 0 5 1
41.36, 53, 1 1 3
42.08, 36, 1 4 2
42.49, 100, 0 3 3
43.99, 37, 2 0 2
44.40, 75, 2 3 1

---

Entry 2:
# Sc2Si4W3
Theoretical XRD peak list, a wavelength of 1.5418 Å. Input: a DFT-relaxed cell (GGA-PBE, the Materials Project).
Peak positions follow from Bragg's law for the DFT cell and can differ from measured ones.

Atomic structure:
Lattice parameters (Å, degrees): 6.580 12.662 6.789 90.00 90.00 90.00
Space group Pnma (No. 62)
Unique sites:
Sc 0.007 0.092 0.170 (multiplicity 8)
Si 0.036 0.250 0.882 (multiplicity 4)
Si 0.168 0.044 0.537 (multiplicity 8)
Si 0.197 0.750 0.643 (multiplicity 4)
W 0.167 0.250 0.496 (multiplicity 4)
W 0.167 0.625 0.336 (multiplicity 8)

Main lines, in order of rising 2θ (10° ≤ 2θ ≤ 80°):
2theta, I/Imax, hkl
14.81, 99, 0 1 1
28.35, 68, 1 3 1
38.90, 53, 0 4 2
40.41, 51, 1 5 1
42.86, 100, 1 1 3
43.35, 58, 3 0 1

---

Entry 3:
# Y5Sc5Si6
Theoretical XRD peak list, a wavelength of 1.5418 Å. Input: a DFT-relaxed cell (GGA-PBE, the Materials Project).
Peak positions follow from Bragg's law for the DFT cell and can differ from measured ones.

Atomic structure:
Lattice parameters (Å, degrees): 6.026 14.228 8.272 90.00 90.00 90.00
Space group Amm2 (No. 38)
Unique sites:
Y 0.000 0.000 0.000 (multiplicity 2)
Y 0.000 0.122 0.627 (multiplicity 4)
Y 0.500 0.123 0.873 (multiplicity 4)
Sc 0.251 0.166 0.252 (multiplicity 8)
Sc 0.500 0.000 0.500 (multiplicity 2)
Si 0.000 0.000 0.352 (multiplicity 2)
Si 0.000 0.199 0.949 (multiplicity 4)
Si 0.500 0.000 0.155 (multiplicity 2)
Si 0.500 0.194 0.549 (multiplicity 4)

Main lines, in order of rising 2θ (10° ≤ 2θ ≤ 80°):
2theta, I/Imax, hkl
26.18, 43, 1 0 2
29.65, 31, 2 0 0
32.24, 32, 2 1 1
36.38, 46, 1 1 3
36.53, 100, 1 4 2
36.96, 71, 2 3 1

---

Entry 4:
# Sc6Sn5
Theoretical XRD peak list, a wavelength of 1.5418 Å. Input: a DFT-relaxed cell (GGA-PBE, the Materials Project).
Peak positions follow from Bragg's law for the DFT cell and can differ from measured ones.

Atomic structure:
Lattice parameters (Å, degrees): 8.862 19.177 6.110 90.00 90.00 90.00
Space group Ibam (No. 72)
Unique sites:
Sc 0.000 0.191 0.250 (multiplicity 8)
Sc 0.116 0.359 0.000 (multiplicity 8)
Sc 0.244 0.065 0.000 (multiplicity 8)
Sn 0.000 0.500 0.250 (multiplicity 4)
Sn 0.096 0.069 0.500 (multiplicity 8)
Sn 0.197 0.289 0.500 (multiplicity 8)

Main lines, in order of rising 2θ (10° ≤ 2θ ≤ 80°):
2theta, I/Imax, hkl
25.28, 63, 1 5 0
25.67, 56, 1 4 1
33.42, 53, 3 3 0
34.06, 84, 1 3 2
34.24, 100, 1 7 0
35.01, 82, 3 2 1

---

Q: Number 3 is which compound?
A: Y5Sc5Si6